Record 1
# Ba4Tl2Cu2HgO10
Calculated powder X-ray diffraction pattern, Cu Kα. Input: a cell relaxed with PBE.
Neutral-atom scattering factors, no anomalous dispersion.

Atomic structure:
Cell: 21.9382 21.9382 21.9382 Å, 169.75 169.75 14.52°
Sites, in units of the cell vectors:
1 Ba 0.0691 0.0691 0.0000
2 Ba 0.1580 0.1580 0.0000
3 Ba 0.8420 0.8420 0.0000
4 Ba 0.9309 0.9309 0.0000
5 Tl 0.2761 0.2761 0.0000
6 Tl 0.7239 0.7239 0.0000
7 Cu 0.3861 0.3861 0.0000
8 Cu 0.6139 0.6139 0.0000
9 Hg 0.5000 0.5000 0.0000
10 O 0.1133 0.6133 0.5000
11 O 0.2284 0.2284 0.0000
12 O 0.3227 0.3227 0.0000
13 O 0.3867 0.8867 0.5000
14 O 0.4537 0.4537 0.0000
15 O 0.5463 0.5463 0.0000
16 O 0.6133 0.1133 0.5000
17 O 0.6773 0.6773 0.0000
18 O 0.7716 0.7716 0.0000
19 O 0.8867 0.3867 0.5000

Main lines, low angle first (5° ≤ 2θ ≤ 70°):
d/Å	2theta	I (rel.)
3.575	24.9	274
3.046	29.3	1000
2.772	32.3	579
2.418	37.2	117
2.069	43.7	140
1.960	46.3	252
1.822	50.1	153
1.704	53.8	100
1.648	55.8	341
1.523	60.8	107

---

Record 2
# Ba2HoMgCu3O7
Calculated powder X-ray diffraction pattern, Cu Kα. Input: a cell relaxed with PBE.
Neutral-atom scattering factors, no anomalous dispersion.

Atomic structure:
Cell: 3.7565 13.1232 4.1585 Å, 90.00 90.00 90.00°
Sites, in units of the cell vectors:
1 Ba 0.0000 0.2299 0.0000
2 Ba 0.0000 0.7701 0.0000
3 Ho 0.0000 0.5000 0.9891
4 Mg 0.0000 0.0000 0.6982
5 Cu 0.5000 0.0000 0.3089
6 Cu 0.5000 0.3904 0.4854
7 Cu 0.5000 0.6096 0.4854
8 O 0.0000 0.3897 0.4785
9 O 0.0000 0.6103 0.4785
10 O 0.5000 0.0000 0.8392
11 O 0.5000 0.1446 0.3681
12 O 0.5000 0.3897 0.9835
13 O 0.5000 0.6103 0.9835
14 O 0.5000 0.8554 0.3681

Main lines, low angle first (5° ≤ 2θ ≤ 70°):
d/Å	2theta	I (rel.)
13.123	6.7	1000
4.158	21.4	205
3.014	29.6	330
2.850	31.4	333
2.788	32.1	723
2.576	34.8	532
2.471	36.4	426
2.124	42.6	232
1.878	48.5	295
1.591	58.0	273

---

Record 3
# Ba2HoMgCu3O7
Calculated powder X-ray diffraction pattern, Cu Kα. Input: a cell relaxed with PBE.
Neutral-atom scattering factors, no anomalous dispersion.

Atomic structure:
Cell: 3.7349 3.9443 14.5493 Å, 90.00 90.00 90.00°
Sites, in units of the cell vectors:
1 Ba 0.0000 0.0000 0.0000
2 Ba 0.0000 0.0000 0.3085
3 Ho 0.0000 0.0000 0.7435
4 Mg 0.0000 0.5000 0.4994
5 Cu 0.5000 0.5000 0.1567
6 Cu 0.5000 0.5000 0.6416
7 Cu 0.5000 0.5000 0.8590
8 O 0.0000 0.5000 0.6327
9 O 0.0000 0.5000 0.8283
10 O 0.5000 0.0000 0.1946
11 O 0.5000 0.0000 0.6514
12 O 0.5000 0.0000 0.8484
13 O 0.5000 0.5000 0.0228
14 O 0.5000 0.5000 0.4319

Main lines, low angle first (5° ≤ 2θ ≤ 70°):
d/Å	2theta	I (rel.)
14.549	6.1	1000
7.275	12.2	270
3.060	29.2	341
2.959	30.2	280
2.712	33.0	589
2.674	33.5	391
2.606	34.4	479
1.972	46.0	217
1.650	55.7	214
1.573	58.7	199

---

Record 4
# Ba4HoCu3O9
Calculated powder X-ray diffraction pattern, Cu Kα. Input: a cell relaxed with PBE.
Neutral-atom scattering factors, no anomalous dispersion.

Atomic structure:
Cell: 8.1442 8.1442 8.1442 Å, 90.00 90.00 90.00°
Sites, in units of the cell vectors:
1 Ba 0.2500 0.2500 0.2500
2 Ba 0.2500 0.2500 0.7500
3 Ba 0.2500 0.7500 0.2500
4 Ba 0.2500 0.7500 0.7500
5 Ba 0.7500 0.2500 0.2500
6 Ba 0.7500 0.2500 0.7500
7 Ba 0.7500 0.7500 0.2500
8 Ba 0.7500 0.7500 0.7500
9 Ho 0.0000 0.0000 0.0000
10 Ho 0.5000 0.5000 0.5000
11 Cu 0.0000 0.0000 0.5000
12 Cu 0.0000 0.5000 0.0000
13 Cu 0.0000 0.5000 0.5000
14 Cu 0.5000 0.0000 0.0000
15 Cu 0.5000 0.0000 0.5000
16 Cu 0.5000 0.5000 0.0000
17 O 0.0000 0.0000 0.2722
18 O 0.0000 0.0000 0.7278
19 O 0.0000 0.2500 0.5000
20 O 0.0000 0.2722 0.0000
21 O 0.0000 0.7278 0.0000
22 O 0.0000 0.7500 0.5000
23 O 0.2278 0.5000 0.5000
24 O 0.2500 0.5000 0.0000
25 O 0.2722 0.0000 0.0000
26 O 0.5000 0.0000 0.2500
27 O 0.5000 0.0000 0.7500
28 O 0.5000 0.2278 0.5000
29 O 0.5000 0.5000 0.2278
30 O 0.5000 0.5000 0.7722
31 O 0.5000 0.7722 0.5000
32 O 0.7278 0.0000 0.0000
33 O 0.7500 0.5000 0.0000
34 O 0.7722 0.5000 0.5000

Main lines, low angle first (5° ≤ 2θ ≤ 70°):
d/Å	2theta	I (rel.)
5.759	15.4	76
4.072	21.8	16
3.325	26.8	18
2.879	31.1	1000
2.575	34.8	29
2.351	38.3	46
2.177	41.5	19
2.036	44.5	270
1.662	55.3	386
1.440	64.8	165